No. 1
This entry pairs a crystal structure of K3OsC with its computed powder diffraction line list. Radiation: Cu Ka. Structure: a DFT-relaxed cell (GGA-PBE, Alexandria).
No peak broadening, texture or thermal motion is included.

Cell and atoms:
a b c (Å): 5.659 5.659 5.659
angles (deg): 90.00 90.00 90.00
Element x y z (fractional)
K: 0.000 0.000 0.500
K: 0.000 0.500 0.000
K: 0.500 0.000 0.000
Os: 0.500 0.500 0.500
C: 0.000 0.000 0.000

Top 12 peaks for 5 to 70 degrees two-theta, most intense first:
d (Å), 2θ/deg, Rel. int.
3.267, 27.30, 100.0
4.001, 22.22, 66.6
2.829, 31.62, 58.8
5.659, 15.66, 50.7
1.706, 53.72, 43.6
2.001, 45.33, 41.3
2.310, 38.99, 31.9
2.531, 35.47, 30.7
1.512, 61.29, 17.6
1.886, 48.25, 17.4
1.789, 51.04, 15.0
1.634, 56.32, 14.0


No. 2
This entry pairs a crystal structure of TaNb2H4 with its computed powder diffraction line list. Radiation: Cu Ka. Structure: a DFT-relaxed cell (GGA-PBE, Alexandria).
No peak broadening, texture or thermal motion is included.

Cell and atoms:
a b c (Å): 5.754 5.754 5.758
angles (deg): 119.92 119.92 89.88
Element x y z (fractional)
Ta: 0.124 0.876 0.750
Ta: 0.876 0.124 0.250
Nb: 0.000 0.500 0.000
Nb: 0.500 0.000 0.500
Nb: 0.500 0.500 0.000
Nb: 0.500 0.500 0.500
H: 0.257 0.741 0.482
H: 0.259 0.276 0.018
H: 0.259 0.743 0.018
H: 0.276 0.259 0.518
H: 0.724 0.741 0.482
H: 0.741 0.257 0.982
H: 0.741 0.724 0.982
H: 0.743 0.259 0.518

Top 12 peaks for 5 to 70 degrees two-theta, most intense first:
d (Å), 2θ/deg, Rel. int.
2.461, 36.51, 100.0
2.453, 36.64, 99.6
2.884, 31.00, 50.2
2.878, 31.08, 49.8
1.566, 59.00, 33.3
1.440, 64.72, 26.2
2.355, 38.21, 21.2
2.349, 38.31, 20.0
1.662, 55.26, 20.0
1.438, 64.81, 17.4
1.572, 58.73, 16.9
1.570, 58.84, 16.5


No. 3
This entry pairs a crystal structure of Dy7CI12 with its computed powder diffraction line list. Radiation: Cu Ka. Structure: a DFT-relaxed cell (GGA-PBE, Alexandria).
No peak broadening, texture or thermal motion is included.

Cell and atoms:
a b c (Å): 9.591 9.591 9.591
angles (deg): 107.93 107.93 107.93
Element x y z (fractional)
Dy: 0.000 0.000 0.000
Dy: 0.215 0.468 0.403
Dy: 0.403 0.215 0.468
Dy: 0.468 0.403 0.215
Dy: 0.532 0.597 0.785
Dy: 0.597 0.785 0.532
Dy: 0.785 0.532 0.597
C: 0.500 0.500 0.500
I: 0.033 0.113 0.349
I: 0.113 0.349 0.033
I: 0.190 0.578 0.726
I: 0.274 0.810 0.422
I: 0.349 0.033 0.113
I: 0.422 0.274 0.810
I: 0.578 0.726 0.190
I: 0.651 0.967 0.887
I: 0.726 0.190 0.578
I: 0.810 0.422 0.274
I: 0.887 0.651 0.967
I: 0.967 0.887 0.651

Top 12 peaks for 5 to 70 degrees two-theta, most intense first:
d (Å), 2θ/deg, Rel. int.
3.019, 29.59, 100.0
2.151, 42.00, 33.0
2.118, 42.69, 32.4
7.755, 11.41, 28.3
3.139, 28.43, 15.1
1.752, 52.22, 14.5
3.503, 25.42, 14.4
2.465, 36.45, 11.0
1.358, 69.16, 10.5
1.509, 61.43, 10.3
2.600, 34.50, 9.5
8.174, 10.82, 9.3


No. 4
This entry pairs a crystal structure of Pm3Y2Hg3 with its computed powder diffraction line list. Radiation: Cu Ka. Structure: a DFT-relaxed cell (GGA-PBE, Alexandria).
No peak broadening, texture or thermal motion is included.

Cell and atoms:
a b c (Å): 3.784 5.446 22.401
angles (deg): 90.00 90.00 90.00
Element x y z (fractional)
Pm: 0.000 0.000 0.000
Pm: 0.000 0.500 0.121
Pm: 0.000 0.500 0.879
Pm: 0.500 0.000 0.379
Pm: 0.500 0.000 0.621
Pm: 0.500 0.500 0.500
Y: 0.000 0.000 0.233
Y: 0.000 0.000 0.767
Y: 0.500 0.500 0.267
Y: 0.500 0.500 0.733
Hg: 0.000 0.000 0.500
Hg: 0.000 0.500 0.378
Hg: 0.000 0.500 0.622
Hg: 0.500 0.000 0.122
Hg: 0.500 0.000 0.878
Hg: 0.500 0.500 0.000

Top 12 peaks for 5 to 70 degrees two-theta, most intense first:
d (Å), 2θ/deg, Rel. int.
2.718, 32.95, 100.0
2.800, 31.96, 19.6
1.571, 58.77, 15.3
1.952, 46.52, 13.9
1.600, 57.60, 12.8
11.200, 7.89, 12.7
1.359, 69.14, 8.9
1.554, 59.49, 7.6
1.892, 48.09, 7.2
1.568, 58.91, 7.2
2.388, 37.66, 3.4
4.400, 20.18, 2.9